# Hf2VO
Calculated powder XRD pattern, Cu Kα. Input: a crystal structure in Alexandria, relaxed with PBE+U.

Largest 12 diffraction maxima, by angle, 2θ from 15° to 90°:
- 2θ 18.4, rel. 34
- 2θ 27.6, rel. 17
- 2θ 31.5, rel. 97
- 2θ 33.4, rel. 100
- 2θ 37.3, rel. 15
- 2θ 43.9, rel. 16
- 2θ 44.4, rel. 23
- 2θ 49.2, rel. 27
- 2θ 52.7, rel. 28
- 2θ 58.5, rel. 16
- 2θ 63.1, rel. 19
- 2θ 64.8, rel. 19

Atomic structure:
abc: 6.4549 6.4549 7.2411
angles: 90.00 90.00 90.00
Space group I-42d (No. 122)
One atom of each set of equivalent atoms:
Hf (0.1415, 0.2500, 0.1250) [8 per cell]
V (0.0000, 0.0000, 0.5000) [4 per cell]
O (0.0000, 0.0000, 0.0000) [4 per cell]